The following is a simulated powder X-ray diffraction pattern of LiCe4Ge4. It was derived from a structure optimized by DFT (PBE), using Cu Kα, 1.54184 Å.
No peak broadening, texture or thermal motion is included.

Atomic structure:
```
data_LiCe4Ge4
_symmetry_space_group_name_H-M 'P n m a'
_symmetry_Int_Tables_number 62
_cell_length_a 7.386
_cell_length_b 15.030
_cell_length_c 7.996
_cell_angle_alpha 90.00
_cell_angle_beta 90.00
_cell_angle_gamma 90.00
loop_
_symmetry_equiv_pos_as_xyz
'x,y,z'
'-x,-y,-z'
'-x+1/2,-y,z+1/2'
'x+1/2,y,-z+1/2'
'x+1/2,-y+1/2,-z+1/2'
'-x+1/2,y+1/2,z+1/2'
'-x,y+1/2,-z'
'x,-y+1/2,z'
loop_
_atom_site_label
_atom_site_type_symbol
_atom_site_fract_x
_atom_site_fract_y
_atom_site_fract_z
_atom_site_occupancy
Li1 Li 0.158 0.250 0.029 1
Ce1 Ce 0.020 0.597 0.686 1
Ce2 Ce 0.175 0.628 0.180 1
Ge1 Ge 0.012 0.250 0.578 1
Ge2 Ge 0.162 0.036 0.969 1
Ge3 Ge 0.224 0.750 0.864 1
```

Largest 6 diffraction maxima, low angle first, 10 to 90 degrees two-theta:
| two_theta | intensity |
| --- | --- |
| 31.1 | 707 |
| 32.1 | 1000 |
| 32.7 | 509 |
| 34.9 | 396 |
| 35.9 | 321 |
| 38.2 | 352 |